Entry 1:
La4Au3: simulated powder diffractogram (Cu Kα (λ = 1.5418 Å)), based on a GGA-PBE-relaxed structure.
Peak positions follow from Bragg's law for the DFT cell and can differ from measured ones.

Most intense lines, 2θ from 10° to 80°, sorted by position:
| 2θ (°) | d_spacing | Rel. int. |
| --- | --- | --- |
| 19.8 | 4.486 | 14 |
| 25.8 | 3.456 | 13 |
| 33.4 | 2.682 | 99 |
| 34.1 | 2.628 | 100 |
| 46.3 | 1.962 | 11 |
| 48.5 | 1.877 | 35 |
| 59.3 | 1.559 | 16 |
| 60.6 | 1.527 | 36 |
| 61.1 | 1.517 | 19 |
| 71.8 | 1.314 | 12 |

Atomic structure:
```
La4Au3
1.0
2.6279 1.5172 8.8526
-2.6279 1.5172 8.8526
0.0000 -3.0344 8.8526
La Au
4 3
Cartesian
0.0000 0.0000 3.2868 La
0.0000 0.0000 9.9420 La
0.0000 0.0000 16.6159 La
0.0000 0.0000 23.2711 La
0.0000 0.0000 0.0000 Au
0.0000 0.0000 6.4099 Au
0.0000 0.0000 20.1480 Au
```

***

Entry 2:
PmSmGaNi: simulated powder diffractogram (Cu Kα (λ = 1.5418 Å)), based on a GGA-PBE-relaxed structure.
Peak positions follow from Bragg's law for the DFT cell and can differ from measured ones.

Most intense lines, 2θ from 10° to 80°, sorted by position:
| 2θ (°) | d_spacing | Rel. int. |
| --- | --- | --- |
| 25.8 | 3.457 | 39 |
| 31.9 | 2.807 | 25 |
| 32.0 | 2.795 | 100 |
| 33.5 | 2.677 | 52 |
| 38.1 | 2.365 | 24 |
| 39.4 | 2.286 | 52 |
| 41.1 | 2.194 | 30 |
| 47.5 | 1.916 | 19 |
| 54.0 | 1.697 | 27 |
| 77.9 | 1.227 | 17 |

Atomic structure:
```
PmSmGaNi
1.0
4.3880 0.0000 0.0000
0.0000 3.8315 0.0000
0.0000 0.0000 11.2288
Pm Sm Ga Ni
2 2 2 2
Cartesian
0.0000 0.0000 0.0000 Pm
0.0000 1.9158 5.6144 Pm
2.1940 0.0000 8.0801 Sm
2.1940 1.9158 2.4657 Sm
2.1940 0.0000 4.8083 Ga
2.1940 1.9158 10.4227 Ga
0.0000 0.0000 3.3532 Ni
0.0000 1.9158 8.9676 Ni
```

***

Entry 3:
TmIO: simulated powder diffractogram (Cu Kα (λ = 1.5418 Å)), based on a GGA-PBE-relaxed structure.
Peak positions follow from Bragg's law for the DFT cell and can differ from measured ones.

Most intense lines, 2θ from 10° to 80°, sorted by position:
| 2θ (°) | d_spacing | Rel. int. |
| --- | --- | --- |
| 23.0 | 3.869 | 100 |
| 28.3 | 3.153 | 80 |
| 32.6 | 2.748 | 54 |
| 34.1 | 2.633 | 45 |
| 35.8 | 2.511 | 32 |
| 40.1 | 2.248 | 32 |
| 40.6 | 2.223 | 24 |
| 46.6 | 1.950 | 31 |
| 52.5 | 1.742 | 21 |
| 52.8 | 1.733 | 28 |

Atomic structure:
```
TmIO
1.0
3.9032 0.0000 0.0000
0.0000 4.1500 0.0000
0.0000 0.0000 10.6965
Tm I O
2 2 2
Cartesian
0.9758 1.0375 0.9828 Tm
2.9274 3.1125 9.7137 Tm
0.9758 3.1125 7.4105 I
2.9274 1.0375 3.2860 I
0.9758 3.1125 0.1958 O
2.9274 1.0375 10.5008 O
```

***

Entry 4:
SmHfHg: simulated powder diffractogram (Cu Kα (λ = 1.5418 Å)), based on a GGA-PBE-relaxed structure.
Peak positions follow from Bragg's law for the DFT cell and can differ from measured ones.

Most intense lines, 2θ from 10° to 80°, sorted by position:
| 2θ (°) | d_spacing | Rel. int. |
| --- | --- | --- |
| 32.4 | 2.759 | 65 |
| 35.0 | 2.564 | 100 |
| 46.5 | 1.951 | 24 |
| 53.9 | 1.701 | 6 |
| 59.5 | 1.553 | 44 |
| 64.4 | 1.448 | 15 |
| 67.9 | 1.380 | 8 |
| 73.9 | 1.282 | 10 |
| 77.3 | 1.234 | 11 |
| 78.8 | 1.215 | 10 |

Atomic structure:
```
SmHfHg
1.0
3.9020 0.0000 0.0000
0.0000 3.9020 0.0000
0.0000 0.0000 10.2036
Sm Hf Hg
2 2 2
Cartesian
0.9755 0.9755 2.4927 Sm
2.9265 2.9265 7.7109 Sm
0.9755 0.9755 5.7334 Hf
2.9265 2.9265 4.4702 Hf
0.9755 0.9755 9.3412 Hg
2.9265 2.9265 0.8624 Hg
```

***

Entry 5:
Na2Ta3Cl9: simulated powder diffractogram (Cu Kα (λ = 1.5418 Å)), based on a GGA-PBE-relaxed structure.
Peak positions follow from Bragg's law for the DFT cell and can differ from measured ones.

Most intense lines, 2θ from 10° to 80°, sorted by position:
| 2θ (°) | d_spacing | Rel. int. |
| --- | --- | --- |
| 10.2 | 8.708 | 77 |
| 10.8 | 8.159 | 64 |
| 11.4 | 7.776 | 100 |
| 12.3 | 7.171 | 73 |
| 14.9 | 5.954 | 29 |
| 34.1 | 2.626 | 34 |
| 38.2 | 2.357 | 26 |
| 40.3 | 2.237 | 21 |
| 40.8 | 2.209 | 15 |
| 42.4 | 2.132 | 16 |

Atomic structure:
```
Na2Ta3Cl9
1.0
4.8158 -8.1588 0.0000
4.8158 8.1588 0.0000
-3.7551 0.0000 8.7082
Na Ta Cl
4 6 18
Cartesian
1.2223 5.5631 5.6348 Na
4.6542 5.5631 3.0734 Na
1.2223 -5.5631 5.6348 Na
4.6542 -5.5631 3.0734 Na
0.3220 1.4423 7.4662 Ta
3.0517 0.0000 1.0545 Ta
0.3220 -1.4423 7.4662 Ta
5.5545 1.4423 1.2420 Ta
2.8248 0.0000 7.6538 Ta
5.5545 -1.4423 1.2420 Ta
1.6897 4.8670 2.9160 Cl
-1.9141 1.7412 8.4794 Cl
-0.7353 0.0000 5.7502 Cl
0.8090 0.0000 2.4158 Cl
-1.9141 -1.7412 8.4794 Cl
4.8158 3.4496 0.0000 Cl
3.6133 1.7224 2.7343 Cl
4.1867 4.8670 5.7922 Cl
2.2631 1.7224 5.9739 Cl
3.6133 -1.7224 2.7343 Cl
1.6897 -4.8670 2.9160 Cl
2.2631 -1.7224 5.9739 Cl
4.8158 -3.4496 0.0000 Cl
7.7905 1.7412 0.2288 Cl
5.0674 0.0000 6.2924 Cl
6.6117 0.0000 2.9580 Cl
7.7905 -1.7412 0.2288 Cl
4.1867 -4.8670 5.7922 Cl
```

***

Entry 6:
Sr2MgSn3Ir4: simulated powder diffractogram (Cu Kα (λ = 1.5418 Å)), based on a GGA-PBE-relaxed structure.
Peak positions follow from Bragg's law for the DFT cell and can differ from measured ones.

Most intense lines, 2θ from 10° to 80°, sorted by position:
| 2θ (°) | d_spacing | Rel. int. |
| --- | --- | --- |
| 21.5 | 4.140 | 43 |
| 31.2 | 2.864 | 61 |
| 32.6 | 2.746 | 100 |
| 40.5 | 2.227 | 84 |
| 43.2 | 2.095 | 74 |
| 45.2 | 2.004 | 35 |
| 52.0 | 1.758 | 29 |
| 58.6 | 1.575 | 29 |
| 62.3 | 1.490 | 28 |
| 75.5 | 1.259 | 30 |

Atomic structure:
```
Sr2MgSn3Ir4
1.0
4.4541 0.0000 0.0000
0.0000 4.4541 0.0000
0.0000 0.0000 11.2202
Sr Mg Sn Ir
2 1 3 4
Cartesian
0.0000 2.2271 2.7802 Sr
2.2271 0.0000 8.4400 Sr
0.0000 0.0000 5.6101 Mg
0.0000 2.2271 9.7796 Sn
2.2271 0.0000 1.4407 Sn
2.2271 2.2271 5.6101 Sn
0.0000 0.0000 0.0000 Ir
0.0000 2.2271 7.1237 Ir
2.2271 0.0000 4.0965 Ir
2.2271 2.2271 0.0000 Ir
```

***

Entry 7:
Rb3Tl4Bi2Sb2: simulated powder diffractogram (Cu Kα (λ = 1.5418 Å)), based on a GGA-PBE-relaxed structure.
Peak positions follow from Bragg's law for the DFT cell and can differ from measured ones.

Most intense lines, 2θ from 10° to 80°, sorted by position:
| 2θ (°) | d_spacing | Rel. int. |
| --- | --- | --- |
| 18.5 | 4.799 | 26 |
| 19.4 | 4.564 | 29 |
| 21.6 | 4.122 | 21 |
| 24.0 | 3.716 | 33 |
| 27.0 | 3.307 | 69 |
| 34.0 | 2.635 | 100 |
| 34.2 | 2.620 | 34 |
| 39.0 | 2.310 | 24 |
| 47.9 | 1.900 | 35 |
| 60.9 | 1.521 | 19 |

Atomic structure:
```
Rb3Tl4Bi2Sb2
1.0
5.2700 0.0000 0.0000
-2.6350 4.5639 0.0000
0.0000 0.0000 19.1943
Rb Tl Bi Sb
3 4 2 2
Cartesian
0.0000 0.0000 0.0000 Rb
0.0000 0.0000 5.2964 Rb
0.0000 0.0000 13.8979 Rb
0.0000 3.0426 7.4729 Tl
0.0000 3.0426 16.5608 Tl
2.6350 1.5213 2.6335 Tl
2.6350 1.5213 11.7214 Tl
0.0000 3.0426 10.7210 Bi
2.6350 1.5213 8.4733 Bi
0.0000 3.0426 2.6488 Sb
2.6350 1.5213 16.5456 Sb
```

***

Entry 8:
Nd4SnHgTe2: simulated powder diffractogram (Cu Kα (λ = 1.5418 Å)), based on a GGA-PBE-relaxed structure.
Peak positions follow from Bragg's law for the DFT cell and can differ from measured ones.

Most intense lines, 2θ from 10° to 80°, sorted by position:
| 2θ (°) | d_spacing | Rel. int. |
| --- | --- | --- |
| 13.9 | 6.364 | 1 |
| 15.6 | 5.694 | 2 |
| 25.2 | 3.530 | 1 |
| 28.0 | 3.183 | 100 |
| 38.1 | 2.364 | 1 |
| 40.1 | 2.251 | 77 |
| 49.6 | 1.838 | 28 |
| 58.0 | 1.591 | 13 |
| 65.6 | 1.423 | 36 |
| 72.8 | 1.299 | 27 |

Atomic structure:
```
Nd4SnHgTe2
1.0
6.3664 0.0000 0.0000
0.0000 6.3664 0.0000
0.0000 0.0000 12.7277
Nd Sn Hg Te
8 2 2 4
Cartesian
0.0000 0.0000 3.1496 Nd
0.0000 0.0000 9.5781 Nd
0.0000 3.1832 6.3703 Nd
0.0000 3.1832 12.7211 Nd
3.1832 0.0000 0.0065 Nd
3.1832 0.0000 6.3573 Nd
3.1832 3.1832 3.2143 Nd
3.1832 3.1832 9.5134 Nd
0.0000 3.1832 9.5457 Sn
3.1832 0.0000 3.1819 Sn
0.0000 0.0000 6.3638 Hg
3.1832 3.1832 0.0000 Hg
0.0000 0.0000 0.0000 Te
0.0000 3.1832 3.1819 Te
3.1832 0.0000 9.5457 Te
3.1832 3.1832 6.3638 Te
```